Simulated X-ray powder pattern of RbMnP2O8 for Cu Ka, from a crystal structure in Alexandria, relaxed with GGA+U.
Lines closer than 0.1° are merged.

Structure:
Cell lengths 4.900, 4.900, 8.589 Å; angles 90.00, 90.00, 120.00 degrees
Fractional positions:
1 Rb 0.000 0.000 0.000
2 Mn 0.000 0.000 0.500
3 P 0.333 0.667 0.690
4 P 0.667 0.333 0.310
5 O 0.063 0.342 0.632
6 O 0.279 0.937 0.632
7 O 0.333 0.667 0.867
8 O 0.342 0.279 0.368
9 O 0.658 0.721 0.632
10 O 0.667 0.333 0.133
11 O 0.721 0.063 0.368
12 O 0.937 0.658 0.368

Peak list (12 most intense, 2θ = 10–80°, by angle)
- d 8.589, I = 16, hkl 0 0 1
- d 4.244, I = 42, hkl 1 0 0
- d 3.805, I = 55, hkl 1 0 1
- d 3.019, I = 100, hkl 0 1 2
- d 2.450, I = 36, hkl 1 1 0
- d 2.128, I = 19, hkl 2 -1 2
- d 1.916, I = 23, hkl 1 0 4
- d 1.902, I = 26, hkl 0 2 2
- d 1.615, I = 12, hkl 1 1 4
- d 1.509, I = 13, hkl 0 2 4
- d 1.503, I = 22, hkl 3 -2 2
- d 1.415, I = 12, hkl 3 0 0